1.
This entry pairs a crystal structure of AlH3 with its calculated powder X-ray diffraction pattern. Radiation: a wavelength of 1.5418 Å. Structure: a cell relaxed with GGA-PBE.
Peak positions follow from Bragg's law for the DFT cell and can differ from measured ones.

Most intense lines, 2θ = 10–90°, sorted by position:
(1 1 1), d 5.165, rel. 1000
(3 1 1), d 2.697, rel. 443
(2 2 2), d 2.582, rel. 505
(4 0 0), d 2.236, rel. 196
(3 3 1), d 2.052, rel. 159
(3 3 3), d 1.722, rel. 136
(4 4 0), d 1.581, rel. 177
(5 3 1), d 1.512, rel. 145
(6 2 2), d 1.349, rel. 190
(7 3 1), d 1.165, rel. 90

abc: 8.945 8.945 8.945
angles: 90.00 90.00 90.00
Space group Fd-3m (No. 227, origin choice 2)
Unique sites:
1 Al 0.000 0.000 0.000 [16 per cell]
2 H 0.073 0.375 0.375 [48 per cell]

***

2.
This entry pairs a crystal structure of Al5H with its calculated powder X-ray diffraction pattern. Radiation: a wavelength of 1.5418 Å. Structure: a cell relaxed with GGA-PBE.
Peak positions follow from Bragg's law for the DFT cell and can differ from measured ones.

Most intense lines, 2θ = 10–90°, sorted by position:
(0 2 1), d 3.219, rel. 111
(1 1 1), d 2.792, rel. 102
(1 3 1), d 2.269, rel. 1000
(2 0 0), d 2.104, rel. 209
(0 0 2), d 1.984, rel. 174
(0 6 0), d 1.835, rel. 108
(2 0 2), d 1.443, rel. 122
(2 6 0), d 1.382, rel. 116
(3 3 1), d 1.244, rel. 139
(1 3 3), d 1.193, rel. 122

```
data_Al5H
_chemical_formula_sum 'Al10 H2'
_space_group_name_H-M_alt 'C m m m'
_space_group_IT_number 65
_space_group_name_Hall '-C 2 2'
_cell_length_a 4.207
_cell_length_b 11.009
_cell_length_c 3.968
_cell_angle_alpha 90.00
_cell_angle_beta 90.00
_cell_angle_gamma 90.00
loop_
_atom_site_label
_atom_site_type_symbol
_atom_site_fract_x
_atom_site_fract_y
_atom_site_fract_z
Al1 Al 0.000 0.000 0.000
Al2 Al 0.000 0.167 0.500
Al3 Al 0.000 0.353 0.000
H1 H 0.000 0.500 0.500
```

***

Number 1 is which compound? AlH3